This entry pairs a crystal structure of Mg4Si7 with its theoretical powder XRD pattern. Radiation: λ = 1.5418 Å (Cu Kα). Structure: DFT lattice parameters and positions (PBE).
Neutral-atom scattering factors, no anomalous dispersion.

Structure:
```
Mg4Si7
1.0
4.382 0.000 0.000
0.412 6.568 0.000
0.402 0.714 13.823
Mg Si
8 14
Direct
0.000 0.000 0.000
0.008 0.326 0.591
0.483 0.500 0.734
0.503 0.639 0.504
0.515 0.012 0.664
0.535 0.618 0.271
0.558 0.153 0.406
0.957 0.480 0.928
0.009 0.955 0.216
0.021 0.450 0.402
0.058 0.578 0.129
0.074 0.968 0.518
0.143 0.301 0.250
0.448 0.308 0.036
0.484 0.789 0.883
0.488 0.170 0.877
0.510 0.012 0.143
0.544 0.690 0.057
0.981 0.811 0.374
0.982 0.705 0.639
0.990 0.196 0.784
0.991 0.831 0.796
```

Main lines, low angle first (15 to 90 degrees two-theta):
hkl 1 2 1, 2.683 Å, I 34; hkl 1 1 4, 2.608 Å, I 43; hkl -1 2 1, 2.519 Å, I 31; hkl -1 1 4, 2.479 Å, I 97; hkl 1 -1 4, 2.466 Å, I 100; hkl 2 0 0, 2.186 Å, I 99; hkl 0 2 5, 2.170 Å, I 32; hkl 0 3 2, 2.116 Å, I 42